This entry pairs a crystal structure of Li4Co3O3F4 with its simulated XRD peak list. Radiation: Cu Kα X-rays. Structure: a crystal structure in Alexandria, relaxed with PBE+U.
Peak positions follow from Bragg's law for the DFT cell and can differ from measured ones.

Crystal structure
```
Li4Co3O3F4
1.0
-1.4749 1.4749 14.9664
1.4749 -1.4749 14.9664
1.4749 1.4749 -14.9664
Li Co O F
4 3 3 4
Direct
0.1479 0.1479 0.0000
0.2832 0.2832 0.0000
0.7168 0.7168 0.0000
0.8521 0.8521 0.0000
0.0000 0.0000 0.0000
0.4253 0.4253 0.0000
0.5747 0.5747 0.0000
0.0760 0.0760 0.0000
0.5000 0.5000 0.0000
0.9240 0.9240 0.0000
0.2163 0.2163 0.0000
0.3503 0.3503 0.0000
0.6497 0.6497 0.0000
0.7837 0.7837 0.0000
```

Largest 12 diffraction maxima, by intensity, 2θ from 10° to 90°:
2θ = 43.4°, I = 100.0; 2θ = 33.9°, I = 67.3; 2θ = 62.2°, I = 52.7; 2θ = 42.3°, I = 49.2; 2θ = 40.9°, I = 40.1; 2θ = 63.0°, I = 27.7; 2θ = 36.0°, I = 25.2; 2θ = 78.8°, I = 23.4; 2θ = 57.6°, I = 22.3; 2θ = 43.8°, I = 21.9; 2θ = 37.0°, I = 18.9; 2θ = 73.5°, I = 12.4